Er3CSe2: calculated powder diffractogram (Cu Kα X-rays), based on a DFT-relaxed cell (PBE, Alexandria).
No peak broadening, texture or thermal motion is included.

Cell and atoms:
```
Er3CSe2
1.0
-1.877 2.754 6.075
1.877 -2.754 6.075
1.877 2.754 -6.075
Er C Se
3 1 2
Direct
0.000 0.000 0.000
0.367 0.367 0.000
0.633 0.633 0.000
0.500 0.000 0.500
0.176 0.676 0.500
0.824 0.324 0.500
```

The 12 most intense peaks (10° ≤ 2θ ≤ 80°), by angle:
two_theta  I_rel
27.33  18
28.78  25
32.41  17
32.52  100
40.58  18
46.65  45
48.50  12
59.61  13
65.03  9
68.11  8
68.83  14
77.52  15



Er6Te3C2Se: calculated powder diffractogram (Cu Kα X-rays), based on a DFT-relaxed cell (PBE, Alexandria).
No peak broadening, texture or thermal motion is included.

Cell and atoms:
```
Er6Te3C2Se
1.0
8.951 -1.947 0.000
8.951 1.947 0.000
-2.291 0.000 7.984
Er Te C Se
6 3 2 1
Direct
0.031 0.031 0.257
0.318 0.318 0.449
0.327 0.327 0.858
0.673 0.673 0.142
0.682 0.682 0.551
0.969 0.969 0.743
0.157 0.157 0.834
0.500 0.500 0.500
0.843 0.843 0.166
0.171 0.171 0.337
0.829 0.829 0.663
0.500 0.500 0.000
```

The 12 most intense peaks (10° ≤ 2θ ≤ 80°), by angle:
two_theta  I_rel
27.69  14
31.19  37
31.51  100
33.68  11
34.27  26
39.32  17
43.63  12
44.18  20
45.66  24
46.66  19
57.19  13
64.80  14



Er15Si9C: calculated powder diffractogram (Cu Kα X-rays), based on a DFT-relaxed cell (PBE, Alexandria).
No peak broadening, texture or thermal motion is included.

Cell and atoms:
```
Er15Si9C
1.0
14.450 0.000 0.000
-7.225 12.514 0.000
0.000 0.000 6.344
Er Si C
30 18 2
Direct
0.015 0.340 0.000
0.015 0.674 0.000
0.080 0.161 0.738
0.080 0.920 0.738
0.161 0.080 0.238
0.175 0.587 0.725
0.255 0.509 0.282
0.255 0.745 0.282
0.326 0.340 0.000
0.326 0.985 0.000
0.340 0.015 0.500
0.340 0.326 0.500
0.413 0.587 0.725
0.413 0.825 0.725
0.491 0.745 0.282
0.509 0.255 0.782
0.587 0.175 0.225
0.587 0.413 0.225
0.660 0.674 0.000
0.660 0.985 0.000
0.674 0.015 0.500
0.674 0.660 0.500
0.745 0.255 0.782
0.745 0.491 0.782
0.825 0.413 0.225
0.839 0.920 0.738
0.920 0.080 0.238
0.920 0.839 0.238
0.985 0.326 0.500
0.985 0.660 0.500
0.067 0.533 0.263
0.132 0.265 0.272
0.132 0.868 0.272
0.199 0.398 0.716
0.199 0.801 0.716
0.265 0.132 0.772
0.398 0.199 0.216
0.467 0.533 0.263
0.467 0.933 0.263
0.533 0.067 0.763
0.533 0.467 0.763
0.602 0.801 0.716
0.735 0.868 0.272
0.801 0.199 0.216
0.801 0.602 0.216
0.868 0.132 0.772
0.868 0.735 0.772
0.933 0.467 0.763
0.333 0.667 0.504
0.667 0.333 0.004
```

The 12 most intense peaks (10° ≤ 2θ ≤ 80°), by angle:
two_theta  I_rel
24.64  32
25.56  47
30.79  53
32.80  52
35.56  85
35.80  100
37.34  31
52.51  26
54.91  26
57.46  15
58.54  21
58.83  28



Y3ErSi2C: calculated powder diffractogram (Cu Kα X-rays), based on a DFT-relaxed cell (PBE, Alexandria).
No peak broadening, texture or thermal motion is included.

Cell and atoms:
```
Y3ErSi2C
1.0
-2.322 2.335 7.553
2.322 -2.335 7.553
2.322 2.335 -7.553
Y Er Si C
3 1 2 1
Direct
0.000 0.000 0.000
0.331 0.831 0.500
0.669 0.169 0.500
0.500 0.500 0.000
0.136 0.636 0.500
0.864 0.364 0.500
0.500 0.000 0.500
```

The 12 most intense peaks (10° ≤ 2θ ≤ 80°), by angle:
two_theta  I_rel
11.72  49
19.90  20
26.10  23
29.59  100
35.66  28
36.19  71
38.55  26
38.78  25
53.51  24
53.70  17
55.83  17
68.03  16



SmEr8C4: calculated powder diffractogram (Cu Kα X-rays), based on a DFT-relaxed cell (PBE, Alexandria).
No peak broadening, texture or thermal motion is included.

Cell and atoms:
```
SmEr8C4
1.0
8.944 -1.784 0.000
8.944 1.784 0.000
-8.294 0.000 9.112
Sm Er C
1 8 4
Direct
0.000 0.000 0.000
0.042 0.042 0.730
0.294 0.294 0.936
0.336 0.336 0.651
0.360 0.360 0.402
0.640 0.640 0.598
0.664 0.664 0.349
0.706 0.706 0.064
0.958 0.958 0.270
0.149 0.149 0.468
0.333 0.333 0.174
0.667 0.667 0.826
0.851 0.851 0.532
```

The 12 most intense peaks (10° ≤ 2θ ≤ 80°), by angle:
two_theta  I_rel
29.27  25
29.41  24
30.05  70
31.79  37
32.27  100
33.26  98
34.52  36
51.19  20
51.85  36
60.51  20
62.19  20
63.24  21



Er6Sn3C2: calculated powder diffractogram (Cu Kα X-rays), based on a DFT-relaxed cell (PBE, Alexandria).
No peak broadening, texture or thermal motion is included.

Cell and atoms:
```
Er6Sn3C2
1.0
-2.370 2.370 12.309
2.370 -2.370 12.309
2.370 2.370 -12.309
Er Sn C
6 3 2
Direct
0.084 0.584 0.500
0.195 0.195 0.000
0.416 0.916 0.500
0.584 0.084 0.500
0.805 0.805 0.000
0.916 0.416 0.500
0.322 0.322 0.000
0.500 0.500 0.000
0.678 0.678 0.000
0.103 0.103 0.000
0.897 0.897 0.000
```

The 12 most intense peaks (10° ≤ 2θ ≤ 80°), by angle:
two_theta  I_rel
27.59  49
29.02  15
30.37  20
31.68  11
34.56  100
36.50  12
37.97  56
48.49  15
53.69  15
54.78  20
59.61  12
66.41  31



Er6SnC3: calculated powder diffractogram (Cu Kα X-rays), based on a DFT-relaxed cell (PBE, Alexandria).
No peak broadening, texture or thermal motion is included.

Cell and atoms:
```
Er6SnC3
1.0
3.227 1.863 5.897
-3.227 1.863 5.897
0.000 -3.727 5.897
Er Sn C
6 1 3
Direct
0.001 0.338 0.661
0.043 0.955 0.486
0.338 0.661 0.001
0.486 0.043 0.955
0.661 0.001 0.338
0.955 0.486 0.043
0.509 0.509 0.509
0.073 0.073 0.073
0.266 0.266 0.266
0.738 0.738 0.738
```

The 12 most intense peaks (10° ≤ 2θ ≤ 80°), by angle:
two_theta  I_rel
27.64  24
30.31  53
31.60  100
32.43  34
33.63  34
38.09  27
41.16  19
41.48  22
48.88  13
54.67  22
59.38  30
76.36  14



Er8Sn2C3: calculated powder diffractogram (Cu Kα X-rays), based on a DFT-relaxed cell (PBE, Alexandria).
No peak broadening, texture or thermal motion is included.

Cell and atoms:
```
Er8Sn2C3
1.0
7.468 -3.600 0.000
7.468 3.600 0.000
-1.866 0.000 6.059
Er Sn C
8 2 3
Direct
0.093 0.093 0.900
0.150 0.669 0.610
0.331 0.850 0.390
0.399 0.399 0.063
0.601 0.601 0.937
0.669 0.150 0.610
0.850 0.331 0.390
0.907 0.907 0.100
0.255 0.255 0.330
0.745 0.745 0.670
0.000 0.000 0.500
0.255 0.745 0.000
0.745 0.255 0.000
```

The 12 most intense peaks (10° ≤ 2θ ≤ 80°), by angle:
two_theta  I_rel
12.40  19
24.95  18
28.42  17
28.85  48
32.66  38
33.24  55
35.42  100
37.81  28
50.05  29
50.73  15
63.38  16
64.04  18



Tb3ErC: calculated powder diffractogram (Cu Kα X-rays), based on a DFT-relaxed cell (PBE, Alexandria).
No peak broadening, texture or thermal motion is included.

Cell and atoms:
```
Tb3ErC
1.0
5.070 0.000 0.000
0.000 5.070 0.000
0.000 0.000 5.070
Tb Er C
3 1 1
Direct
0.000 0.000 0.500
0.000 0.500 0.000
0.500 0.000 0.000
0.500 0.500 0.500
0.000 0.000 0.000
```

The 6 most intense peaks (10° ≤ 2θ ≤ 80°), by angle:
two_theta  I_rel
30.54  100
35.41  54
50.94  39
60.57  44
63.56  13
74.91  6



TbEr2C2: calculated powder diffractogram (Cu Kα X-rays), based on a DFT-relaxed cell (PBE, Alexandria).
No peak broadening, texture or thermal motion is included.

Cell and atoms:
```
TbEr2C2
1.0
5.710 -2.512 0.000
5.710 2.512 0.000
-2.385 0.000 6.913
Tb Er C
2 4 4
Direct
0.157 0.157 0.096
0.843 0.843 0.904
0.161 0.161 0.565
0.494 0.494 0.274
0.506 0.506 0.726
0.839 0.839 0.435
0.003 0.003 0.763
0.334 0.334 0.418
0.666 0.666 0.582
0.997 0.997 0.237
```

The 12 most intense peaks (10° ≤ 2θ ≤ 80°), by angle:
two_theta  I_rel
30.23  97
30.56  100
34.87  38
35.10  40
35.74  40
50.77  39
50.96  30
59.79  13
60.36  14
60.84  14
61.02  15
63.61  14



ErTc4C2: calculated powder diffractogram (Cu Kα X-rays), based on a DFT-relaxed cell (PBE, Alexandria).
No peak broadening, texture or thermal motion is included.

Cell and atoms:
```
ErTc4C2
1.0
1.976 -6.673 0.000
1.976 6.673 0.000
0.000 0.000 3.918
Er Tc C
1 4 2
Direct
0.000 0.000 0.000
0.176 0.824 0.500
0.318 0.682 0.000
0.682 0.318 0.000
0.824 0.176 0.500
0.370 0.630 0.500
0.630 0.370 0.500
```

The 12 most intense peaks (10° ≤ 2θ ≤ 80°), by angle:
two_theta  I_rel
13.27  11
23.48  15
26.38  11
38.15  100
40.56  20
45.94  17
46.35  17
62.92  11
63.26  10
67.32  11
72.19  11
79.79  11



ErTh2C2: calculated powder diffractogram (Cu Kα X-rays), based on a DFT-relaxed cell (PBE, Alexandria).
No peak broadening, texture or thermal motion is included.

Cell and atoms:
```
ErTh2C2
1.0
-1.900 1.900 7.458
1.900 -1.900 7.458
1.900 1.900 -7.458
Er Th C
1 2 2
Direct
0.000 0.000 0.000
0.335 0.335 0.000
0.665 0.665 0.000
0.167 0.167 0.000
0.833 0.833 0.000
```

The 12 most intense peaks (10° ≤ 2θ ≤ 80°), by angle:
two_theta  I_rel
11.87  2
29.59  100
33.35  43
36.13  17
47.88  16
49.98  27
57.30  33
60.99  14
61.42  15
70.04  5
77.82  7
79.82  7